Simulated powder XRD pattern
Compound: K3NdTc2O9
Radiation: Cu Kα (weighted mean of Kα1 and Kα2)
Structure: DFT lattice parameters and positions (PBE)

Structural model:
Cell lengths 5.8146, 5.8146, 7.3069 Å; angles 90.00, 90.00, 120.00 degrees
Fractional positions:
K: 0.0000 0.0000 0.0000
K: 0.3333 0.6667 0.6824
K: 0.6667 0.3333 0.3176
Nd: 0.0000 0.0000 0.5000
Tc: 0.3333 0.6667 0.1549
Tc: 0.6667 0.3333 0.8451
O: 0.0000 0.5000 0.0000
O: 0.1809 0.3617 0.3020
O: 0.1809 0.8191 0.3020
O: 0.3617 0.1809 0.6980
O: 0.5000 0.0000 0.0000
O: 0.5000 0.5000 0.0000
O: 0.6383 0.8191 0.3020
O: 0.8191 0.1809 0.6980
O: 0.8191 0.6383 0.6980

Top 10 peaks for 2θ from 10° to 90°, by intensity:
Position (°2θ)	I (rel.)
21.43	100
30.22	96
30.75	91
43.66	68
54.35	34
49.49	21
48.78	20
64.06	19
62.85	19
53.35	18